The following is a computed XRD peak list of Li4Co3NiO8. It was derived from DFT lattice parameters and positions (GGA+U), using Cu Kα (λ = 1.5418 Å).
Intensities are scaled so that the largest is 100.

Structural model:
Cell: 5.760 5.770 9.951 Å, 73.27 89.48 60.35°
Space group P1 (No. 1)
Inequivalent atoms, fractional coordinates:
Li: 0.000 0.000 0.000 (multiplicity 1)
Li: 0.005 0.993 0.507 (multiplicity 1)
Li: 0.249 0.000 0.749 (multiplicity 1)
Li: 0.263 0.994 0.254 (multiplicity 1)
Li: 0.497 0.003 0.994 (multiplicity 1)
Li: 0.505 0.994 0.501 (multiplicity 1)
Li: 0.743 0.001 0.748 (multiplicity 1)
Li: 0.758 0.993 0.253 (multiplicity 1)
Co: 0.002 0.497 0.000 (multiplicity 1)
Co: 0.002 0.498 0.501 (multiplicity 1)
Co: 0.261 0.493 0.253 (multiplicity 1)
Co: 0.502 0.498 0.501 (multiplicity 1)
Co: 0.503 0.496 0.000 (multiplicity 1)
Co: 0.746 0.501 0.750 (multiplicity 1)
Ni: 0.250 0.499 0.750 (multiplicity 1)
Ni: 0.755 0.497 0.251 (multiplicity 1)
O: 0.096 0.280 0.871 (multiplicity 1)
O: 0.132 0.276 0.374 (multiplicity 1)
O: 0.144 0.714 0.888 (multiplicity 1)
O: 0.146 0.715 0.381 (multiplicity 1)
O: 0.358 0.280 0.615 (multiplicity 1)
O: 0.380 0.718 0.128 (multiplicity 1)
O: 0.385 0.265 0.129 (multiplicity 1)
O: 0.399 0.719 0.628 (multiplicity 1)
O: 0.599 0.277 0.375 (multiplicity 1)
O: 0.620 0.275 0.874 (multiplicity 1)
O: 0.621 0.729 0.874 (multiplicity 1)
O: 0.645 0.718 0.389 (multiplicity 1)
O: 0.859 0.281 0.619 (multiplicity 1)
O: 0.863 0.279 0.111 (multiplicity 1)
O: 0.879 0.722 0.627 (multiplicity 1)
O: 0.918 0.713 0.130 (multiplicity 1)

Largest 10 diffraction maxima, low angle first, 2θ from 10° to 90°:
d 4.740, 18.72 deg, I 100, (0 1 0)
d 2.469, 36.40 deg, I 14, (2 1 2)
d 2.446, 36.74 deg, I 27, (0 1 4)
d 2.351, 38.29 deg, I 15, (2 2 2)
d 2.056, 44.05 deg, I 24, (2 0 2)
d 2.032, 44.59 deg, I 46, (0 2 4)
d 1.569, 58.85 deg, I 9, (2 3 -2)
d 1.449, 64.28 deg, I 12, (0 2 -4)
d 1.443, 64.60 deg, I 13, (2 2 6)
d 1.440, 64.74 deg, I 6, (4 2 0)